# 1
AcCe2GaCo: theoretical powder XRD pattern (Cu Kα (λ = 1.5418 Å)), based on a PBE-relaxed structure.

The 10 most intense peaks (5° ≤ 2θ ≤ 70°), most intense first:
- hkl 1 1 1, 29.4°, rel. 100
- hkl 2 0 0, 36.5°, rel. 50
- hkl 2 0 2, 47.1°, rel. 34
- hkl 0 0 2, 28.8°, rel. 32
- hkl 1 0 0, 18.0°, rel. 31
- hkl 1 0 2, 34.2°, rel. 27
- hkl 3 1 1, 61.3°, rel. 26
- hkl 2 2 0, 52.5°, rel. 17
- hkl 2 1 2, 50.8°, rel. 17
- hkl 2 2 2, 61.0°, rel. 16

Structural model:
abc: 4.928 4.928 6.197
angles: 90.00 90.00 90.00
Space group P4mm (No. 99)
One atom of each set of equivalent atoms:
Ac  0.000  0.000  0.000
Ce  0.000  0.500  0.469
Ga  0.500  0.500  0.137
Co  0.000  0.000  0.508

# 2
CdIn4Sn4: theoretical powder XRD pattern (Cu Kα (λ = 1.5418 Å)), based on a PBE-relaxed structure.

The 8 most intense peaks (5° ≤ 2θ ≤ 70°), most intense first:
- hkl 3 0 1, 32.5°, rel. 100
- hkl 3 3 0, 38.1°, rel. 32
- hkl 6 3 1, 65.3°, rel. 26
- hkl 3 3 2, 54.1°, rel. 23
- hkl 0 0 2, 36.9°, rel. 18
- hkl 3 0 3, 63.8°, rel. 14
- hkl 6 0 2, 68.1°, rel. 12
- hkl 6 0 0, 54.9°, rel. 11

Structural model:
abc: 10.027 10.027 4.867
angles: 90.00 90.00 90.00
Space group I4/mmm (No. 139)
One atom of each set of equivalent atoms:
Cd  0.000  0.000  0.000
In  0.000  0.329  0.000
Sn  0.164  0.164  0.500

# 3
PmPr4Ho2Sc: theoretical powder XRD pattern (Cu Kα (λ = 1.5418 Å)), based on a PBE-relaxed structure.

The 10 most intense peaks (5° ≤ 2θ ≤ 70°), most intense first:
- hkl 1 1 2, 31.9°, rel. 100
- hkl 2 0 0, 30.2°, rel. 58
- hkl 3 1 2, 54.7°, rel. 43
- hkl 2 2 0, 43.2°, rel. 22
- hkl 2 0 4, 58.0°, rel. 18
- hkl 2 2 4, 66.8°, rel. 12
- hkl 0 0 4, 48.3°, rel. 8
- hkl 4 0 0, 62.7°, rel. 7
- hkl 1 1 1, 24.3°, rel. 4
- hkl 1 0 1, 19.1°, rel. 3

Structural model:
abc: 5.927 5.927 7.532
angles: 90.00 90.00 90.00
Space group P4/mmm (No. 123)
One atom of each set of equivalent atoms:
Pm  0.000  0.000  0.000
Pr  0.000  0.500  0.245
Ho  0.000  0.000  0.500
Ho  0.500  0.500  0.500
Sc  0.500  0.500  0.000

# 4
La2Sm2Hg3: theoretical powder XRD pattern (Cu Kα (λ = 1.5418 Å)), based on a PBE-relaxed structure.

The 10 most intense peaks (5° ≤ 2θ ≤ 70°), most intense first:
- hkl 0 2 0, 33.5°, rel. 100
- hkl 6 0 -2, 60.0°, rel. 37
- hkl 2 2 2, 48.2°, rel. 18
- hkl 0 0 1, 10.1°, rel. 9
- hkl 2 0 0, 20.4°, rel. 7
- hkl 2 0 -3, 30.7°, rel. 5
- hkl 1 1 0, 19.5°, rel. 4
- hkl 2 2 0, 39.5°, rel. 4
- hkl 3 1 0, 35.1°, rel. 3
- hkl 1 1 -2, 25.7°, rel. 3

Structural model:
abc: 9.254 5.344 9.258
angles: 90.00 109.39 90.00
Space group C2/m (No. 12)
One atom of each set of equivalent atoms:
La  0.128  0.000  0.386
Sm  0.122  0.500  0.866
Hg  0.000  0.000  0.000
Hg  0.246  0.500  0.238

# 5
Ca2Ac8La: theoretical powder XRD pattern (Cu Kα (λ = 1.5418 Å)), based on a PBE-relaxed structure.

The 10 most intense peaks (5° ≤ 2θ ≤ 70°), most intense first:
- hkl 0 4 1, 28.4°, rel. 100
- hkl 3 1 1, 28.8°, rel. 76
- hkl 0 0 2, 29.8°, rel. 45
- hkl 3 3 0, 30.1°, rel. 40
- hkl 3 7 1, 52.2°, rel. 35
- hkl 3 3 2, 42.8°, rel. 31
- hkl 6 4 1, 57.4°, rel. 29
- hkl 2 2 1, 24.9°, rel. 26
- hkl 2 0 1, 21.7°, rel. 24
- hkl 0 4 3, 52.0°, rel. 19

Structural model:
abc: 11.212 14.728 6.002
angles: 90.00 90.00 90.00
Space group Cmmm (No. 65)
One atom of each set of equivalent atoms:
Ca  0.000  0.117  0.000
Ac  0.000  0.249  0.500
Ac  0.168  0.368  0.000
Ac  0.173  0.000  0.500
La  0.000  0.500  0.500

# 6
Pm7DyTm3: theoretical powder XRD pattern (Cu Kα (λ = 1.5418 Å)), based on a PBE-relaxed structure.

The 10 most intense peaks (5° ≤ 2θ ≤ 70°), most intense first:
- hkl 0 0 4, 31.9°, rel. 100
- hkl 2 0 -2, 33.7°, rel. 56
- hkl 0 3 3, 31.3°, rel. 51
- hkl 0 3 -1, 33.5°, rel. 31
- hkl 2 3 -3, 50.7°, rel. 26
- hkl 2 0 2, 28.9°, rel. 21
- hkl 2 2 8, 61.0°, rel. 20
- hkl 2 1 3, 29.6°, rel. 19
- hkl 2 6 0, 60.7°, rel. 15
- hkl 2 6 4, 55.0°, rel. 14

Structural model:
abc: 7.167 10.196 12.449
angles: 66.13 73.32 69.45
Space group P-1 (No. 2)
One atom of each set of equivalent atoms:
Pm  0.080  0.307  0.027
Pm  0.080  0.807  0.529
Pm  0.223  0.750  0.250
Pm  0.334  0.546  0.774
Pm  0.345  0.046  0.274
Pm  0.415  0.193  0.473
Pm  0.417  0.693  0.971
Dy  0.000  0.000  0.000
Dy  0.000  0.500  0.500
Tm  0.168  0.935  0.725
Tm  0.173  0.435  0.225
Tm  0.500  0.000  0.000
Tm  0.500  0.500  0.500

# 7
Ba8Ce3Sb4O24: theoretical powder XRD pattern (Cu Kα (λ = 1.5418 Å)), based on a PBE-relaxed structure.

The 10 most intense peaks (5° ≤ 2θ ≤ 70°), most intense first:
- hkl 2 0 4, 29.4°, rel. 100
- hkl 4 2 4, 52.2°, rel. 23
- hkl 4 0 0, 42.1°, rel. 19
- hkl 2 2 8, 52.1°, rel. 12
- hkl 4 0 8, 61.0°, rel. 11
- hkl 0 0 8, 42.0°, rel. 10
- hkl 6 0 4, 69.3°, rel. 9
- hkl 4 4 0, 61.1°, rel. 5
- hkl 2 0 12, 69.0°, rel. 5
- hkl 2 1 1, 23.8°, rel. 5

Structural model:
abc: 8.576 8.576 17.224
angles: 90.00 90.00 90.00
Space group I4/mmm (No. 139)
One atom of each set of equivalent atoms:
Ba  0.229  0.229  0.116
Ce  0.000  0.000  0.500
Ce  0.000  0.500  0.250
Sb  0.000  0.000  0.255
Sb  0.000  0.500  0.000
O  0.000  0.000  0.141
O  0.000  0.000  0.371
O  0.000  0.239  0.253
O  0.000  0.260  0.500
O  0.000  0.273  0.000
O  0.000  0.500  0.120

# 8
ScMn10Si2: theoretical powder XRD pattern (Cu Kα (λ = 1.5418 Å)), based on a PBE-relaxed structure.

The 10 most intense peaks (5° ≤ 2θ ≤ 70°), most intense first:
- hkl 2 2 3, 44.9°, rel. 100
- hkl 3 1 2, 41.4°, rel. 69
- hkl 0 4 2, 44.3°, rel. 63
- hkl 2 4 2, 49.9°, rel. 62
- hkl 4 2 1, 50.3°, rel. 50
- hkl 2 0 4, 50.8°, rel. 38
- hkl 0 2 3, 38.6°, rel. 38
- hkl 4 0 0, 44.7°, rel. 32
- hkl 3 3 0, 44.0°, rel. 28
- hkl 1 5 0, 49.2°, rel. 26

Structural model:
abc: 8.104 9.515 8.019
angles: 90.00 90.00 90.00
Space group Cmcm (No. 63)
One atom of each set of equivalent atoms:
Sc  0.000  0.132  0.250
Mn  0.000  0.175  0.607
Mn  0.000  0.397  0.067
Mn  0.136  0.391  0.750
Mn  0.202  0.000  0.000
Mn  0.249  0.121  0.750
Si  0.250  0.250  0.000

# 9
Hg3PF4: theoretical powder XRD pattern (Cu Kα (λ = 1.5418 Å)), based on a PBE-relaxed structure.

The 10 most intense peaks (5° ≤ 2θ ≤ 70°), most intense first:
- hkl 1 1 0, 14.0°, rel. 100
- hkl 1 3 -1, 32.0°, rel. 58
- hkl 2 0 0, 23.2°, rel. 53
- hkl 0 2 1, 24.8°, rel. 48
- hkl 1 3 1, 33.8°, rel. 42
- hkl 0 4 1, 37.6°, rel. 22
- hkl 2 0 -2, 42.6°, rel. 22
- hkl 2 4 -1, 43.2°, rel. 21
- hkl 0 0 2, 38.5°, rel. 19
- hkl 1 3 0, 26.6°, rel. 17

Structural model:
abc: 7.743 11.150 4.717
angles: 90.00 97.29 90.00
Space group Cm (No. 8)
One atom of each set of equivalent atoms:
Hg  0.000  0.000  0.000
Hg  0.406  0.343  0.475
P  0.347  0.000  0.943
F  0.041  0.500  0.108
F  0.352  0.154  0.943
F  0.383  0.000  0.615

# 10
Li3B8C8: theoretical powder XRD pattern (Cu Kα (λ = 1.5418 Å)), based on a PBE-relaxed structure.

The 10 most intense peaks (5° ≤ 2θ ≤ 70°), most intense first:
- hkl 6 0 0, 21.5°, rel. 100
- hkl 2 0 0, 7.1°, rel. 82
- hkl 4 0 0, 14.3°, rel. 32
- hkl 8 0 0, 28.8°, rel. 23
- hkl 14 0 0, 51.6°, rel. 18
- hkl 1 1 -1, 37.9°, rel. 13
- hkl 7 1 -1, 44.7°, rel. 11
- hkl 8 0 -2, 45.6°, rel. 10
- hkl 7 1 1, 47.4°, rel. 9
- hkl 6 0 2, 46.8°, rel. 8

Structural model:
abc: 24.990 2.748 4.725
angles: 90.00 97.02 90.00
Space group C2/m (No. 12)
One atom of each set of equivalent atoms:
Li  0.000  0.000  0.000
Li  0.138  0.500  0.587
B  0.068  0.000  0.682
B  0.076  0.500  0.188
B  0.215  0.500  0.985
B  0.216  0.000  0.481
C  0.069  0.500  0.847
C  0.077  0.000  0.353
C  0.215  0.000  0.815
C  0.217  0.500  0.315

# 11
NaGaSnS4: theoretical powder XRD pattern (Cu Kα (λ = 1.5418 Å)), based on a PBE-relaxed structure.

The 10 most intense peaks (5° ≤ 2θ ≤ 70°), most intense first:
- hkl 1 1 0, 13.4°, rel. 100
- hkl 2 4 2, 45.0°, rel. 83
- hkl 1 1 2, 27.3°, rel. 81
- hkl 2 0 0, 22.5°, rel. 59
- hkl 1 3 0, 25.0°, rel. 51
- hkl 0 0 2, 23.7°, rel. 30
- hkl 0 4 2, 38.4°, rel. 29
- hkl 1 3 2, 34.7°, rel. 26
- hkl 2 2 0, 27.0°, rel. 26
- hkl 3 3 0, 41.0°, rel. 25

Structural model:
abc: 7.902 12.000 7.511
angles: 90.00 90.00 90.00
Space group Cmcm (No. 63)
One atom of each set of equivalent atoms:
Na  0.000  0.000  0.000
Ga  0.000  0.364  0.250
Sn  0.000  0.365  0.750
S  0.000  0.246  0.010
S  0.221  0.492  0.250

# 12
Ag2Pd8Pt3: theoretical powder XRD pattern (Cu Kα (λ = 1.5418 Å)), based on a PBE-relaxed structure.

The 10 most intense peaks (5° ≤ 2θ ≤ 70°), most intense first:
- hkl 2 2 1, 34.9°, rel. 100
- hkl 4 2 -1, 41.5°, rel. 100
- hkl 6 0 0, 41.1°, rel. 72
- hkl 2 0 -2, 40.6°, rel. 44
- hkl 2 0 0, 13.4°, rel. 26
- hkl 1 3 1, 43.5°, rel. 24
- hkl 4 0 2, 49.1°, rel. 22
- hkl 3 3 1, 48.2°, rel. 21
- hkl 5 1 0, 36.3°, rel. 19
- hkl 1 3 0, 38.5°, rel. 18

Structural model:
abc: 13.192 7.121 4.651
angles: 90.00 92.77 90.00
Space group C2/m (No. 12)
One atom of each set of equivalent atoms:
Ag  0.159  0.000  0.241
Pd  0.048  0.000  0.743
Pd  0.172  0.287  0.686
Pd  0.185  0.500  0.192
Pt  0.000  0.316  0.000
Pt  0.000  0.500  0.500